No. 1
# Li4H2O
Simulated XRD peak list, a wavelength of 1.5418 Å. Input: a crystal structure in Alexandria, relaxed with GGA-PBE.
Neutral-atom scattering factors, no anomalous dispersion.

Peak list (12 most intense, 10° ≤ 2θ ≤ 90°, in order of rising 2θ)
2θ/deg, Rel. int., index
17.04, 75, 0 0 2
26.60, 100, 1 1 1
35.37, 8, 0 2 0
36.25, 24, 1 1 3
36.42, 7, 2 0 0
39.13, 14, 1 0 4
50.92, 18, 1 1 5
51.65, 11, 2 2 0
54.79, 14, 2 2 2
58.33, 7, 1 3 1
65.13, 7, 0 2 6
65.39, 12, 3 1 3

Atomic structure:
Cell lengths 4.9384, 5.0753, 10.4098 Å; angles 90.00, 90.00, 90.00 degrees
Fractional positions:
Li1 0.1442 0.0856 0.1655
Li2 0.1442 0.4144 0.6655
Li3 0.2009 0.2069 0.4372
Li4 0.2009 0.2931 0.9372
Li5 0.2991 0.7069 0.4372
Li6 0.2991 0.7931 0.9372
Li7 0.3558 0.5856 0.1655
Li8 0.3558 0.9144 0.6655
Li9 0.6442 0.0856 0.3345
Li10 0.6442 0.4144 0.8345
Li11 0.7009 0.2069 0.0628
Li12 0.7009 0.2931 0.5628
Li13 0.7991 0.7069 0.0628
Li14 0.7991 0.7931 0.5628
Li15 0.8558 0.5856 0.3345
Li16 0.8558 0.9144 0.8345
H1 0.0093 0.5475 0.8241
H2 0.0093 0.9525 0.3241
H3 0.4907 0.0475 0.8241
H4 0.4907 0.4525 0.3241
H5 0.5093 0.5475 0.6759
H6 0.5093 0.9525 0.1759
H7 0.9907 0.0475 0.6759
H8 0.9907 0.4525 0.1759
O1 0.0000 0.0000 0.0000
O2 0.0000 0.5000 0.5000
O3 0.5000 0.0000 0.5000
O4 0.5000 0.5000 0.0000



No. 2
# Pm3Zn2Co
Simulated XRD peak list, a wavelength of 1.5418 Å. Input: a crystal structure in Alexandria, relaxed with GGA-PBE.
Neutral-atom scattering factors, no anomalous dispersion.

Peak list (12 most intense, 10° ≤ 2θ ≤ 90°, in order of rising 2θ)
2θ/deg, Rel. int., index
25.96, 40, 2 1 1
27.85, 35, 3 0 2
29.98, 21, 2 1 2
30.78, 45, 3 1 1
32.52, 100, 0 1 3
34.08, 21, 4 0 2
34.29, 28, 3 1 2
35.27, 17, 1 0 4
36.56, 53, 4 1 1
37.59, 17, 2 0 4
39.82, 53, 0 2 0
53.41, 22, 4 2 2

Atomic structure:
Cell lengths 12.1959, 4.5281, 10.4068 Å; angles 90.00, 90.00, 90.00 degrees
Fractional positions:
Pm1 0.0572 0.2500 0.1127
Pm2 0.1078 0.7500 0.5622
Pm3 0.2407 0.2500 0.7855
Pm4 0.2593 0.7500 0.2855
Pm5 0.3922 0.2500 0.0622
Pm6 0.4428 0.7500 0.6127
Pm7 0.5572 0.2500 0.3873
Pm8 0.6078 0.7500 0.9378
Pm9 0.7407 0.2500 0.7145
Pm10 0.7593 0.7500 0.2145
Pm11 0.8922 0.2500 0.4378
Pm12 0.9428 0.7500 0.8873
Zn1 0.0124 0.7500 0.2959
Zn2 0.2085 0.7500 0.9863
Zn3 0.2915 0.2500 0.4863
Zn4 0.4876 0.2500 0.7959
Zn5 0.5124 0.7500 0.2041
Zn6 0.7085 0.7500 0.5137
Zn7 0.7915 0.2500 0.0137
Zn8 0.9876 0.2500 0.7041
Co1 0.1141 0.2500 0.3632
Co2 0.3859 0.7500 0.8632
Co3 0.6141 0.2500 0.1368
Co4 0.8859 0.7500 0.6368